Structure and simulated powder X-ray diffraction pattern of PmIF2 (DFT lattice parameters and positions (PBE); Cu Kα X-rays).
No peak broadening, texture or thermal motion is included.

Top 10 peaks for 2θ = 10–90°, low angle first:
two_theta, Rel. int.
21.9, 18
22.1, 36
24.5, 65
25.1, 18
29.3, 27
33.3, 100
33.8, 42
38.5, 17
38.7, 23
49.4, 20

Structural model:
```
32
Lattice="16.0575 0.0000 0.0000 0.0000 7.2639 0.0000 0.0000 0.0000 6.2150" Properties=species:S:1:pos:R:3 pbc="T T T"
Pm 1.1216 1.8160 0.2246
Pm 2.5587 5.4479 1.0045
Pm 5.4701 1.8160 4.1119
Pm 6.9072 5.4479 3.3321
Pm 9.1503 1.8160 2.8829
Pm 10.5874 5.4479 2.1030
Pm 13.4988 1.8160 5.2105
Pm 14.9359 5.4479 5.9904
I 1.6219 5.4479 4.1375
I 2.3374 1.8160 3.3410
I 5.6914 5.4479 0.2335
I 6.4068 1.8160 1.0300
I 9.6506 5.4479 5.1849
I 10.3661 1.8160 5.9815
I 13.7201 5.4479 2.8740
I 14.4356 1.8160 2.0774
F 0.6078 4.1709 0.9588
F 0.6078 6.7250 0.9588
F 2.9064 0.3398 0.2829
F 2.9064 3.2921 0.2829
F 5.1224 3.9718 3.3904
F 5.1224 6.9241 3.3904
F 7.4209 0.5389 4.0662
F 7.4209 3.0930 4.0662
F 8.6365 4.1709 2.1487
F 8.6365 6.7250 2.1487
F 10.9351 0.3398 2.8245
F 10.9351 3.2921 2.8245
F 13.1511 3.9718 5.9320
F 13.1511 6.9241 5.9320
F 15.4496 0.5389 5.2562
F 15.4496 3.0930 5.2562
```

=====

Structure and simulated powder X-ray diffraction pattern of Pr2I5F (DFT lattice parameters and positions (PBE); Cu Kα X-rays).
No peak broadening, texture or thermal motion is included.

Top 10 peaks for 2θ = 10–90°, low angle first:
two_theta, Rel. int.
11.0, 67
16.1, 33
23.1, 49
25.2, 20
28.6, 100
31.2, 41
33.1, 32
36.4, 27
37.2, 30
39.8, 20

Structural model:
```
16
Lattice="1.9497 -8.0567 0.0000 1.9497 8.0567 0.0000 0.0000 0.0000 21.9553" Properties=species:S:1:pos:R:3 pbc="T T T"
Pr 1.9497 4.1025 14.5337
Pr 1.9497 4.1025 18.3993
Pr 1.9497 -4.1025 3.5560
Pr 1.9497 -4.1025 7.4216
I 1.9497 6.2798 2.6968
I 1.9497 6.2798 8.2809
I 1.9497 2.4852 1.5856
I 1.9497 2.4852 9.3920
I 1.9497 1.6822 5.4888
I 1.9497 -1.6822 16.4665
I 1.9497 -2.4852 12.5633
I 1.9497 -2.4852 20.3697
I 1.9497 -6.2798 13.6744
I 1.9497 -6.2798 19.2585
F 1.9497 4.5912 5.4888
F 1.9497 -4.5912 16.4665
```

=====

Structure and simulated powder X-ray diffraction pattern of Rb2IF7 (DFT lattice parameters and positions (PBE); Cu Kα X-rays).
No peak broadening, texture or thermal motion is included.

Top 10 peaks for 2θ = 10–90°, low angle first:
two_theta, Rel. int.
16.3, 47
26.8, 100
31.5, 15
38.2, 42
47.3, 38
50.3, 10
55.1, 25
62.3, 21
75.5, 22
87.9, 10

Structural model:
```
10
Lattice="0.0000 4.7112 4.7112 4.7112 0.0000 4.7112 4.7112 4.7112 0.0000" Properties=species:S:1:pos:R:3 pbc="T T T"
Rb 2.3556 2.3556 2.3556
Rb 7.0668 7.0668 7.0668
I 0.0000 0.0000 0.0000
F 4.7112 4.7112 2.0317
F 4.7112 2.0317 4.7112
F 7.3907 4.7112 4.7112
F 4.7112 4.7112 4.7112
F 2.0317 4.7112 4.7112
F 4.7112 7.3907 4.7112
F 4.7112 4.7112 7.3907
```

=====

Structure and simulated powder X-ray diffraction pattern of Rb3IF6 (DFT lattice parameters and positions (PBE); Cu Kα X-rays).
No peak broadening, texture or thermal motion is included.

Top 10 peaks for 2θ = 10–90°, low angle first:
two_theta, Rel. int.
25.1, 78
25.7, 100
26.6, 60
26.7, 39
34.3, 34
38.0, 30
44.0, 19
44.7, 26
45.6, 25
46.8, 25

Structural model:
```
20
Lattice="5.2335 0.0000 0.0000 0.0000 6.6711 0.0000 -4.7663 0.0000 13.4160" Properties=species:S:1:pos:R:3 pbc="T T T"
Rb 0.0000 0.0000 0.0000
Rb -2.3832 3.3355 6.7080
Rb -2.3518 0.4879 10.1731
Rb 0.0313 2.8477 3.4651
Rb 0.4358 3.8234 9.9509
Rb 2.8190 6.1832 3.2429
I 0.2336 0.0000 6.7080
I 2.6167 3.3355 0.0000
F -1.3752 0.7478 5.6783
F -3.7584 2.5877 12.3863
F 0.2250 0.2205 2.7000
F -2.1582 3.1150 9.4080
F -0.0381 4.7923 5.9358
F -2.4213 5.2143 12.6438
F 2.8884 1.4567 0.7722
F 0.5053 1.8788 7.4802
F 2.6254 3.5560 4.0080
F 0.2422 6.4506 10.7160
F 4.2255 4.0833 1.0297
F 1.8424 5.9233 7.7378
```

=====

What is the formula in the second record? Pr2I5F